(1)
Calculated powder XRD pattern
Compound: La2Ni2GeP
Radiation: copper Kα
Structure: a cell relaxed with PBE
Intensities are scaled so that the largest is 1000.

Top 12 peaks for 2θ from 10° to 90°, by angle:
2θ = 25.1°, d 3.554, intensity 167; 2θ = 33.1°, d 2.704, intensity 1000; 2θ = 43.4°, d 2.084, intensity 128; 2θ = 44.1°, d 2.052, intensity 376; 2θ = 50.8°, d 1.797, intensity 47; 2θ = 56.3°, d 1.635, intensity 215; 2θ = 63.6°, d 1.462, intensity 239; 2θ = 73.2°, d 1.294, intensity 91; 2θ = 74.2°, d 1.279, intensity 186; 2θ = 81.2°, d 1.185, intensity 61; 2θ = 86.1°, d 1.129, intensity 25; 2θ = 89.6°, d 1.094, intensity 55

Atomic structure:
```
data_La2Ni2GeP
_chemical_formula_sum 'La2 Ni2 Ge1 P1'
_symmetry_space_group_name_H-M 'P -6 m 2'
_symmetry_Int_Tables_number 187
_symmetry_space_group_name_Hall 'P -6 2'
_cell_length_a 4.1041
_cell_length_b 4.1041
_cell_length_c 8.3341
_cell_angle_alpha 90.00
_cell_angle_beta 90.00
_cell_angle_gamma 120.00
loop_
_atom_site_label
_atom_site_fract_x
_atom_site_fract_y
_atom_site_fract_z
La1 0.0000 0.0000 0.2416
Ni1 0.3333 0.6667 0.5000
Ni2 0.6667 0.3333 0.0000
Ge1 0.6667 0.3333 0.5000
P1 0.3333 0.6667 0.0000
```

(2)
Calculated powder XRD pattern
Compound: GdI3O9
Radiation: copper Kα
Structure: a cell relaxed with PBE
Intensities are scaled so that the largest is 1000.

Top 12 peaks for 2θ from 10° to 90°, by angle:
2θ = 24.8°, d 3.585, intensity 163; 2θ = 25.6°, d 3.484, intensity 249; 2θ = 26.4°, d 3.380, intensity 107; 2θ = 26.8°, d 3.327, intensity 254; 2θ = 27.3°, d 3.268, intensity 1000; 2θ = 29.5°, d 3.029, intensity 557; 2θ = 31.2°, d 2.871, intensity 117; 2θ = 44.6°, d 2.030, intensity 207; 2θ = 49.0°, d 1.858, intensity 124; 2θ = 51.0°, d 1.791, intensity 191; 2θ = 51.9°, d 1.761, intensity 147; 2θ = 57.0°, d 1.615, intensity 154

Atomic structure:
```
data_GdI3O9
_chemical_formula_sum 'Gd4 I12 O36'
_symmetry_space_group_name_H-M 'P 1 21/c 1'
_symmetry_Int_Tables_number 14
_cell_length_a 7.079
_cell_length_b 8.363
_cell_length_c 13.269
_cell_angle_alpha 90.00
_cell_angle_beta 100.15
_cell_angle_gamma 90.00
loop_
_symmetry_equiv_pos_as_xyz
'x,y,z'
'-x,-y,-z'
'-x,y+1/2,-z+1/2'
'x,-y+1/2,z+1/2'
loop_
_atom_site_label
_atom_site_fract_x
_atom_site_fract_y
_atom_site_fract_z
Gd1 0.175 0.243 0.145
I1 0.170 0.715 0.114
I2 0.275 0.014 0.889
I3 0.331 0.537 0.862
O1 0.018 0.520 0.385
O2 0.036 0.169 0.485
O3 0.145 0.691 0.825
O4 0.164 0.530 0.188
O5 0.246 0.211 0.827
O6 0.324 0.066 0.025
O7 0.350 0.028 0.232
O8 0.366 0.666 0.046
O9 0.469 0.174 0.627
```

(3)
Calculated powder XRD pattern
Compound: BeAlNiMo
Radiation: copper Kα
Structure: a cell relaxed with PBE
Intensities are scaled so that the largest is 1000.

Top 10 peaks for 2θ from 10° to 90°, by angle:
2θ = 26.4°, d 3.370, intensity 593; 2θ = 30.6°, d 2.919, intensity 103; 2θ = 43.9°, d 2.064, intensity 1000; 2θ = 52.0°, d 1.760, intensity 264; 2θ = 54.5°, d 1.685, intensity 27; 2θ = 63.8°, d 1.459, intensity 157; 2θ = 70.3°, d 1.339, intensity 102; 2θ = 72.4°, d 1.305, intensity 37; 2θ = 80.6°, d 1.192, intensity 319; 2θ = 86.7°, d 1.123, intensity 79

Atomic structure:
```
data_BeAlNiMo
_chemical_formula_sum 'Be4 Al4 Ni4 Mo4'
_symmetry_space_group_name_H-M 'F -4 3 m'
_symmetry_Int_Tables_number 216
_symmetry_space_group_name_Hall 'F -4 2 3'
_cell_length_a 5.837
_cell_length_b 5.837
_cell_length_c 5.837
_cell_angle_alpha 90.00
_cell_angle_beta 90.00
_cell_angle_gamma 90.00
loop_
_atom_site_label
_atom_site_fract_x
_atom_site_fract_y
_atom_site_fract_z
Be1 0.000 0.000 0.000
Al1 0.250 0.250 0.250
Ni1 0.000 0.000 0.500
Mo1 0.250 0.250 0.750
```

(4)
Calculated powder XRD pattern
Compound: Zn2AgAu
Radiation: copper Kα
Structure: a cell relaxed with PBE
Intensities are scaled so that the largest is 1000.

Top 12 peaks for 2θ from 10° to 90°, by angle:
2θ = 13.5°, d 6.575, intensity 116; 2θ = 27.1°, d 3.287, intensity 92; 2θ = 28.5°, d 3.135, intensity 164; 2θ = 31.6°, d 2.830, intensity 60; 2θ = 39.7°, d 2.269, intensity 1000; 2θ = 40.7°, d 2.217, intensity 467; 2θ = 49.6°, d 1.838, intensity 73; 2θ = 55.9°, d 1.644, intensity 90; 2θ = 58.9°, d 1.568, intensity 153; 2θ = 71.4°, d 1.320, intensity 170; 2θ = 73.4°, d 1.290, intensity 316; 2θ = 85.6°, d 1.134, intensity 107

Atomic structure:
```
data_Zn2AgAu
_chemical_formula_sum 'Zn2 Ag1 Au1'
_symmetry_space_group_name_H-M 'P 4/m m m'
_symmetry_Int_Tables_number 123
_symmetry_space_group_name_Hall '-P 4 2'
_cell_length_a 3.135
_cell_length_b 3.135
_cell_length_c 6.575
_cell_angle_alpha 90.00
_cell_angle_beta 90.00
_cell_angle_gamma 90.00
loop_
_atom_site_label
_atom_site_fract_x
_atom_site_fract_y
_atom_site_fract_z
Zn1 0.000 0.000 0.247
Ag1 0.500 0.500 0.500
Au1 0.500 0.500 0.000
```

(5)
Calculated powder XRD pattern
Compound: GeMo3CN
Radiation: copper Kα
Structure: a cell relaxed with PBE
Intensities are scaled so that the largest is 1000.

Top 12 peaks for 2θ from 10° to 90°, by angle:
2θ = 33.5°, d 2.679, intensity 289; 2θ = 36.6°, d 2.458, intensity 100; 2θ = 39.1°, d 2.304, intensity 1000; 2θ = 41.2°, d 2.189, intensity 209; 2θ = 42.2°, d 2.143, intensity 292; 2θ = 53.8°, d 1.703, intensity 47; 2θ = 58.4°, d 1.581, intensity 124; 2θ = 59.0°, d 1.565, intensity 294; 2θ = 73.1°, d 1.295, intensity 151; 2θ = 73.7°, d 1.285, intensity 120; 2θ = 74.5°, d 1.273, intensity 218; 2θ = 75.2°, d 1.264, intensity 49

Atomic structure:
```
data_GeMo3CN
_chemical_formula_sum 'Ge2 Mo6 C2 N2'
_symmetry_space_group_name_H-M 'P -3 m 1'
_symmetry_Int_Tables_number 164
_symmetry_space_group_name_Hall '-P 3 2"'
_cell_length_a 3.1298
_cell_length_b 3.1298
_cell_length_c 17.5095
_cell_angle_alpha 90.00
_cell_angle_beta 90.00
_cell_angle_gamma 120.00
loop_
_atom_site_label
_atom_site_fract_x
_atom_site_fract_y
_atom_site_fract_z
Ge1 0.0000 0.0000 0.2480
Mo1 0.0000 0.0000 0.0000
Mo2 0.0000 0.0000 0.5000
Mo3 0.3333 0.6667 0.1329
Mo4 0.3333 0.6667 0.3649
C1 0.3333 0.6667 0.5734
N1 0.3333 0.6667 0.9299
```

(6)
Calculated powder XRD pattern
Compound: ZnTcPb2O6
Radiation: copper Kα
Structure: a cell relaxed with PBE
Intensities are scaled so that the largest is 1000.

Top 12 peaks for 2θ from 10° to 90°, by angle:
2θ = 22.6°, d 3.927, intensity 159; 2θ = 31.7°, d 2.823, intensity 1000; 2θ = 32.2°, d 2.777, intensity 514; 2θ = 39.3°, d 2.292, intensity 199; 2θ = 44.6°, d 2.031, intensity 152; 2θ = 46.2°, d 1.964, intensity 256; 2θ = 56.1°, d 1.639, intensity 218; 2θ = 57.1°, d 1.612, intensity 418; 2θ = 66.2°, d 1.412, intensity 169; 2θ = 74.1°, d 1.280, intensity 94; 2θ = 76.7°, d 1.242, intensity 98; 2θ = 84.5°, d 1.146, intensity 83

Atomic structure:
```
data_ZnTcPb2O6
_chemical_formula_sum 'Zn2 Tc2 Pb4 O12'
_symmetry_space_group_name_H-M 'I 4/m'
_symmetry_Int_Tables_number 87
_symmetry_space_group_name_Hall '-I 4'
_cell_length_a 5.554
_cell_length_b 5.554
_cell_length_c 8.124
_cell_angle_alpha 90.00
_cell_angle_beta 90.00
_cell_angle_gamma 90.00
loop_
_atom_site_label
_atom_site_fract_x
_atom_site_fract_y
_atom_site_fract_z
Zn1 0.000 0.000 0.000
Tc1 0.000 0.000 0.500
Pb1 0.000 0.500 0.250
O1 0.000 0.000 0.260
O2 0.190 0.710 0.500
```

(7)
Calculated powder XRD pattern
Compound: Cs3TbF6
Radiation: copper Kα
Structure: a cell relaxed with PBE
Intensities are scaled so that the largest is 1000.

Top 12 peaks for 2θ from 10° to 90°, by angle:
2θ = 15.8°, d 5.607, intensity 19; 2θ = 18.3°, d 4.856, intensity 23; 2θ = 25.9°, d 3.434, intensity 1000; 2θ = 31.9°, d 2.804, intensity 11; 2θ = 37.0°, d 2.428, intensity 322; 2θ = 45.8°, d 1.982, intensity 417; 2θ = 53.4°, d 1.717, intensity 209; 2θ = 60.3°, d 1.536, intensity 203; 2θ = 66.7°, d 1.402, intensity 68; 2θ = 72.9°, d 1.298, intensity 229; 2θ = 78.8°, d 1.214, intensity 31; 2θ = 84.7°, d 1.145, intensity 113

Atomic structure:
```
data_Cs3TbF6
_chemical_formula_sum 'Cs12 Tb4 F24'
_symmetry_space_group_name_H-M 'F m -3 m'
_symmetry_Int_Tables_number 225
_symmetry_space_group_name_Hall '-F 4 2 3'
_cell_length_a 9.712
_cell_length_b 9.712
_cell_length_c 9.712
_cell_angle_alpha 90.00
_cell_angle_beta 90.00
_cell_angle_gamma 90.00
loop_
_atom_site_label
_atom_site_fract_x
_atom_site_fract_y
_atom_site_fract_z
Cs1 0.000 0.000 0.000
Cs2 0.250 0.250 0.250
Tb1 0.000 0.000 0.500
F1 0.000 0.000 0.277
```

(8)
Calculated powder XRD pattern
Compound: RbFeCuSe5
Radiation: copper Kα
Structure: a cell relaxed with PBE
Intensities are scaled so that the largest is 1000.

Top 12 peaks for 2θ from 10° to 90°, by angle:
2θ = 24.5°, d 3.638, intensity 161; 2θ = 25.3°, d 3.518, intensity 196; 2θ = 26.3°, d 3.390, intensity 228; 2θ = 28.7°, d 3.107, intensity 321; 2θ = 30.1°, d 2.966, intensity 251; 2θ = 31.2°, d 2.869, intensity 1000; 2θ = 32.3°, d 2.773, intensity 229; 2θ = 38.9°, d 2.314, intensity 242; 2θ = 46.2°, d 1.964, intensity 281; 2θ = 46.4°, d 1.957, intensity 198; 2θ = 46.7°, d 1.946, intensity 163; 2θ = 50.1°, d 1.819, intensity 263

Atomic structure:
```
data_RbFeCuSe5
_chemical_formula_sum 'Rb2 Fe2 Cu2 Se10'
_symmetry_space_group_name_H-M 'P 1 21/m 1'
_symmetry_Int_Tables_number 11
_cell_length_a 6.065
_cell_length_b 7.277
_cell_length_c 9.427
_cell_angle_alpha 90.00
_cell_angle_beta 100.02
_cell_angle_gamma 90.00
loop_
_symmetry_equiv_pos_as_xyz
'x,y,z'
'-x,-y,-z'
'-x,y+1/2,-z'
'x,-y+1/2,z'
loop_
_atom_site_label
_atom_site_fract_x
_atom_site_fract_y
_atom_site_fract_z
Rb1 0.234 0.250 0.462
Fe1 0.000 0.000 0.000
Cu1 0.360 0.250 0.922
Se1 0.178 0.510 0.797
Se2 0.219 0.750 0.370
Se3 0.227 0.750 0.116
Se4 0.476 0.750 0.833
```

(9)
Calculated powder XRD pattern
Compound: PaAgNO
Radiation: copper Kα
Structure: a cell relaxed with PBE
Intensities are scaled so that the largest is 1000.

Top 12 peaks for 2θ from 10° to 90°, by angle:
2θ = 19.4°, d 4.569, intensity 143; 2θ = 24.8°, d 3.592, intensity 829; 2θ = 30.8°, d 2.907, intensity 250; 2θ = 31.5°, d 2.838, intensity 1000; 2θ = 32.2°, d 2.780, intensity 315; 2θ = 32.8°, d 2.733, intensity 176; 2θ = 33.5°, d 2.673, intensity 307; 2θ = 45.1°, d 2.009, intensity 176; 2θ = 46.1°, d 1.968, intensity 217; 2θ = 47.2°, d 1.927, intensity 222; 2θ = 51.2°, d 1.784, intensity 207; 2θ = 62.3°, d 1.490, intensity 211

Atomic structure:
```
data_PaAgNO
_chemical_formula_sum 'Pa4 Ag4 N4 O4'
_symmetry_space_group_name_H-M 'P c a 21'
_symmetry_Int_Tables_number 29
_cell_length_a 5.559
_cell_length_b 8.020
_cell_length_c 5.813
_cell_angle_alpha 90.00
_cell_angle_beta 90.00
_cell_angle_gamma 90.00
loop_
_symmetry_equiv_pos_as_xyz
'x,y,z'
'-x,-y,z+1/2'
'-x+1/2,y,z+1/2'
'x+1/2,-y,z'
loop_
_atom_site_label
_atom_site_fract_x
_atom_site_fract_y
_atom_site_fract_z
Pa1 0.049 0.160 0.000
Ag1 0.034 0.462 0.624
N1 0.119 0.309 0.323
O1 0.245 0.970 0.229
```

(10)
Calculated powder XRD pattern
Compound: La2SmB2N4
Radiation: copper Kα
Structure: a cell relaxed with PBE
Intensities are scaled so that the largest is 1000.

Top 12 peaks for 2θ from 10° to 90°, by angle:
2θ = 26.5°, d 3.364, intensity 177; 2θ = 28.2°, d 3.166, intensity 1000; 2θ = 33.3°, d 2.689, intensity 991; 2θ = 39.1°, d 2.305, intensity 329; 2θ = 43.7°, d 2.072, intensity 168; 2θ = 48.9°, d 1.863, intensity 232; 2θ = 49.9°, d 1.828, intensity 188; 2θ = 51.7°, d 1.767, intensity 113; 2θ = 53.2°, d 1.721, intensity 233; 2θ = 57.4°, d 1.606, intensity 216; 2θ = 59.9°, d 1.543, intensity 249; 2θ = 79.4°, d 1.206, intensity 119

Atomic structure:
```
data_La2SmB2N4
_chemical_formula_sum 'La4 Sm2 B4 N8'
_symmetry_space_group_name_H-M 'I m m m'
_symmetry_Int_Tables_number 71
_symmetry_space_group_name_Hall '-I 2 2'
_cell_length_a 3.534
_cell_length_b 6.332
_cell_length_c 10.965
_cell_angle_alpha 90.00
_cell_angle_beta 90.00
_cell_angle_gamma 90.00
loop_
_atom_site_label
_atom_site_fract_x
_atom_site_fract_y
_atom_site_fract_z
La1 0.000 0.000 0.201
Sm1 0.000 0.500 0.000
B1 0.000 0.356 0.500
N1 0.000 0.240 0.383
```